Structure and theoretical XRD peak list of Pt2PbF2 (a cell relaxed with GGA-PBE; copper Kα).

Structure:
abc: 6.2656 6.2656 6.2656
angles: 144.23 144.23 51.48
Sites, in units of the cell vectors:
Pt  0.1106  0.1106  0.0000
Pt  0.8894  0.8894  0.0000
Pb  0.5000  0.5000  0.0000
F  0.2500  0.7500  0.5000
F  0.7500  0.2500  0.5000

Top 8 peaks for 2θ = 10–80°, by angle:
2θ (°)	Rel. int.
15.70	51
32.91	100
33.30	100
36.66	49
46.65	83
47.24	48
59.02	40
68.56	53